# K4MoO5
Calculated powder XRD pattern, a wavelength of 1.5418 Å. Input: a DFT-relaxed cell (GGA+U, Alexandria).

Most intense lines, 2θ = 10–90°, sorted by position:
index, two_theta, Rel. int.
1 1 0, 15.41, 41
1 0 1, 19.19, 47
1 2 1, 29.25, 100
0 0 2, 31.83, 42
3 1 0, 34.90, 64
3 1 2, 47.95, 39
2 4 0, 50.19, 20
1 2 3, 55.13, 19
5 0 1, 59.15, 35
2 4 2, 60.66, 16
5 0 3, 77.76, 15
3 6 1, 81.19, 8

Crystal structure
```
data_K4MoO5
_cell_length_a 8.1297
_cell_length_b 8.1297
_cell_length_c 5.6229
_cell_angle_alpha 90.00
_cell_angle_beta 90.00
_cell_angle_gamma 90.00
_symmetry_space_group_name_H-M 'I 4'
_symmetry_Int_Tables_number 79
loop_
_symmetry_equiv_pos_as_xyz
'x,y,z'
'-y,x,z'
'-x,-y,z'
'y,-x,z'
'x+1/2,y+1/2,z+1/2'
'-y+1/2,x+1/2,z+1/2'
'-x+1/2,-y+1/2,z+1/2'
'y+1/2,-x+1/2,z+1/2'
loop_
_atom_site_label
_atom_site_fract_x
_atom_site_fract_y
_atom_site_fract_z
_atom_site_occupancy
K1 0.1047 0.7022 0.0000 1
Mo1 0.0000 0.0000 0.5501 1
O1 0.0000 0.0000 0.8742 1
O2 0.0698 0.7791 0.4770 1
```